No. 1
# Er4AlGe4Pd2
Theoretical PXRD pattern, Cu Kα X-rays. Input: the PBE geometry in OQMD.
Neutral-atom scattering factors, no anomalous dispersion.

Atomic structure:
Lattice parameters (Å, degrees): 8.060 8.060 7.018 106.80 106.80 30.47
Element x y z (fractional)
Er 0.086 0.086 0.379
Er 0.155 0.155 0.923
Er 0.845 0.845 0.077
Er 0.914 0.914 0.621
Al 0.500 0.500 0.000
Ge 0.314 0.314 0.770
Ge 0.440 0.440 0.332
Ge 0.560 0.560 0.668
Ge 0.686 0.686 0.230
Pd 0.281 0.281 0.366
Pd 0.719 0.719 0.634

Top 10 peaks for 2θ from 10° to 80°, low angle first:
Position (°2θ)  Rel. int.
33.2  42.5
34.7  39.8
36.1  100.0
37.0  17.6
40.4  18.2
42.6  13.4
42.7  29.2
60.2  14.0
63.1  12.1
73.9  17.3



No. 2
# Rb3TlSb2Au2
Theoretical PXRD pattern, Cu Kα X-rays. Input: the PBE geometry in OQMD.
Neutral-atom scattering factors, no anomalous dispersion.

Atomic structure:
Lattice parameters (Å, degrees): 6.520 6.887 6.884 90.00 108.92 90.00
Element x y z (fractional)
Rb 0.000 0.000 0.000
Rb 0.036 0.500 0.315
Rb 0.670 0.500 0.634
Tl 0.352 0.000 0.683
Sb 0.258 0.500 0.881
Sb 0.757 0.000 0.426
Au 0.520 0.241 0.131
Au 0.520 0.759 0.131

Top 10 peaks for 2θ from 10° to 80°, low angle first:
Position (°2θ)  Rel. int.
14.4  72.0
16.3  73.0
27.7  58.1
29.3  70.3
29.5  83.3
29.7  33.5
30.7  85.7
34.8  100.0
35.1  35.7
39.2  38.5



No. 3
# BaSr2OsO6
Theoretical PXRD pattern, Cu Kα X-rays. Input: the PBE geometry in OQMD.
Neutral-atom scattering factors, no anomalous dispersion.

Atomic structure:
Lattice parameters (Å, degrees): 6.125 6.125 6.125 121.90 121.90 86.74
Element x y z (fractional)
Ba 0.000 0.000 0.000
Sr 0.250 0.750 0.500
Sr 0.750 0.250 0.500
Os 0.500 0.500 0.000
O 0.199 0.616 0.815
O 0.278 0.278 0.000
O 0.384 0.199 0.582
O 0.616 0.801 0.418
O 0.722 0.722 0.000
O 0.801 0.384 0.185

Top 10 peaks for 2θ from 10° to 80°, low angle first:
Position (°2θ)  Rel. int.
21.1  14.1
29.2  100.0
30.0  59.9
40.5  17.7
43.0  23.8
51.3  25.9
52.8  46.4
60.6  16.6
66.8  10.5
70.8  11.7



No. 4
# GdPbSO
Theoretical PXRD pattern, Cu Kα X-rays. Input: the PBE geometry in OQMD.
Neutral-atom scattering factors, no anomalous dispersion.

Atomic structure:
Lattice parameters (Å, degrees): 6.366 17.110 6.800 90.00 90.00 90.00
Element x y z (fractional)
Gd 0.168 0.201 0.109
Gd 0.168 0.299 0.609
Gd 0.332 0.701 0.109
Gd 0.332 0.799 0.609
Gd 0.668 0.201 0.391
Gd 0.668 0.299 0.891
Gd 0.832 0.701 0.391
Gd 0.832 0.799 0.891
Pb 0.181 0.531 0.669
Pb 0.181 0.969 0.169
Pb 0.319 0.031 0.669
Pb 0.319 0.469 0.169
Pb 0.681 0.531 0.831
Pb 0.681 0.969 0.331
Pb 0.819 0.031 0.831
Pb 0.819 0.469 0.331
S 0.003 0.094 0.383
S 0.003 0.406 0.883
S 0.497 0.594 0.383
S 0.497 0.906 0.883
S 0.503 0.094 0.117
S 0.503 0.406 0.617
S 0.997 0.594 0.117
S 0.997 0.906 0.617
O 0.157 0.746 0.844
O 0.157 0.754 0.344
O 0.343 0.246 0.844
O 0.343 0.254 0.344
O 0.657 0.746 0.656
O 0.657 0.754 0.156
O 0.843 0.246 0.656
O 0.843 0.254 0.156

Top 10 peaks for 2θ from 10° to 80°, low angle first:
Position (°2θ)  Rel. int.
20.8  57.7
24.6  82.7
28.4  78.7
29.8  100.0
31.5  58.4
33.8  35.6
36.6  32.7
40.9  29.8
44.4  31.8
59.9  34.5



Copy entry 1 word for word.
# Er4AlGe4Pd2
Theoretical PXRD pattern, Cu Kα X-rays. Input: the PBE geometry in OQMD.
Neutral-atom scattering factors, no anomalous dispersion.

Atomic structure:
Lattice parameters (Å, degrees): 8.060 8.060 7.018 106.80 106.80 30.47
Element x y z (fractional)
Er 0.086 0.086 0.379
Er 0.155 0.155 0.923
Er 0.845 0.845 0.077
Er 0.914 0.914 0.621
Al 0.500 0.500 0.000
Ge 0.314 0.314 0.770
Ge 0.440 0.440 0.332
Ge 0.560 0.560 0.668
Ge 0.686 0.686 0.230
Pd 0.281 0.281 0.366
Pd 0.719 0.719 0.634

Top 10 peaks for 2θ from 10° to 80°, low angle first:
Position (°2θ)  Rel. int.
33.2  42.5
34.7  39.8
36.1  100.0
37.0  17.6
40.4  18.2
42.6  13.4
42.7  29.2
60.2  14.0
63.1  12.1
73.9  17.3